No. 1
Calculated XRD peak list of YErMg2 for λ = 1.5418 Å (Cu Kα), from a structure optimized by DFT (PBE).
Lines closer than 0.1° are merged.

Main lines, by angle (2θ = 10–80°):
| 2θ (°) | intensity |
| --- | --- |
| 20.30 | 12.8 |
| 23.48 | 54.2 |
| 33.45 | 100.0 |
| 39.44 | 7.6 |
| 41.27 | 16.5 |
| 48.03 | 17.9 |
| 54.13 | 22.5 |
| 59.79 | 36.9 |
| 70.27 | 11.3 |
| 75.24 | 10.7 |

Structure:
```
YErMg2
1.0
0.000 3.789 3.789
3.789 0.000 3.789
3.789 3.789 0.000
Y Er Mg
1 1 2
direct
0.000 0.000 0.000
0.500 0.500 0.500
0.250 0.250 0.250
0.750 0.750 0.750
```


No. 2
Calculated XRD peak list of Nd2MgS4 for λ = 1.5418 Å (Cu Kα), from a structure optimized by DFT (PBE).
Lines closer than 0.1° are merged.

Main lines, by angle (2θ = 10–80°):
| 2θ (°) | intensity |
| --- | --- |
| 14.38 | 83.5 |
| 23.49 | 89.6 |
| 26.31 | 100.0 |
| 29.52 | 29.3 |
| 31.25 | 29.7 |
| 33.20 | 55.0 |
| 39.99 | 29.7 |
| 40.81 | 48.4 |
| 45.64 | 50.3 |
| 46.32 | 23.5 |

Structure:
```
Nd2MgS4
1.0
12.958 0.000 0.000
0.000 3.973 0.000
0.000 0.000 14.004
Nd Mg S
8 4 16
direct
0.122 0.250 0.074
0.132 0.250 0.708
0.368 0.750 0.208
0.378 0.750 0.574
0.622 0.250 0.426
0.632 0.250 0.792
0.868 0.750 0.292
0.878 0.750 0.926
0.107 0.750 0.461
0.393 0.250 0.961
0.607 0.750 0.039
0.893 0.250 0.539
0.002 0.750 0.613
0.025 0.250 0.885
0.229 0.250 0.246
0.231 0.250 0.516
0.269 0.750 0.016
0.271 0.750 0.746
0.475 0.750 0.385
0.498 0.250 0.113
0.502 0.750 0.887
0.525 0.250 0.615
0.729 0.250 0.254
0.731 0.250 0.984
0.769 0.750 0.484
0.771 0.750 0.754
0.975 0.750 0.115
0.998 0.250 0.387
```


No. 3
Calculated XRD peak list of Co2Cu3C12N12 for λ = 1.5418 Å (Cu Kα), from a structure optimized by DFT (PBE).
Lines closer than 0.1° are merged.

Main lines, by angle (2θ = 10–80°):
| 2θ (°) | intensity |
| --- | --- |
| 17.43 | 50.8 |
| 17.57 | 100.0 |
| 24.85 | 58.8 |
| 24.95 | 29.2 |
| 35.28 | 22.0 |
| 35.58 | 42.7 |
| 39.91 | 22.3 |
| 43.88 | 14.3 |
| 50.98 | 19.2 |
| 57.74 | 20.4 |

Structure:
```
Co2Cu3C12N12
1.0
7.137 0.000 0.000
0.000 7.137 0.000
0.000 0.000 10.175
Co Cu C N
2 3 12 12
direct
0.000 0.500 0.249
0.500 0.000 0.751
0.000 0.500 0.753
0.500 0.000 0.247
0.500 0.500 0.500
0.000 0.500 0.066
0.000 0.500 0.433
0.184 0.316 0.250
0.184 0.684 0.250
0.316 0.184 0.750
0.316 0.816 0.750
0.500 0.000 0.567
0.500 0.000 0.934
0.684 0.184 0.750
0.684 0.816 0.750
0.816 0.316 0.250
0.816 0.684 0.250
0.000 0.500 0.548
0.000 0.500 0.951
0.202 0.302 0.748
0.202 0.698 0.748
0.302 0.202 0.252
0.302 0.798 0.252
0.500 0.000 0.049
0.500 0.000 0.452
0.698 0.202 0.252
0.698 0.798 0.252
0.798 0.302 0.748
0.798 0.698 0.748
```


No. 4
Calculated XRD peak list of CeTmS3 for λ = 1.5418 Å (Cu Kα), from a structure optimized by DFT (PBE).
Lines closer than 0.1° are merged.

Main lines, by angle (2θ = 10–80°):
| 2θ (°) | intensity |
| --- | --- |
| 24.76 | 36.2 |
| 25.16 | 100.0 |
| 25.32 | 58.0 |
| 28.27 | 37.7 |
| 30.37 | 25.0 |
| 35.94 | 58.3 |
| 41.18 | 23.4 |
| 44.52 | 31.8 |
| 46.16 | 30.7 |
| 53.29 | 25.4 |

Structure:
```
CeTmS3
1.0
16.379 0.000 0.000
0.000 3.933 0.000
0.000 0.000 21.105
Ce Tm S
12 12 36
direct
0.163 0.250 0.245
0.170 0.750 0.587
0.196 0.250 0.922
0.304 0.750 0.422
0.330 0.250 0.087
0.337 0.750 0.745
0.663 0.250 0.255
0.670 0.750 0.913
0.696 0.250 0.578
0.804 0.750 0.078
0.830 0.250 0.413
0.837 0.750 0.755
0.056 0.750 0.070
0.066 0.250 0.421
0.095 0.250 0.751
0.405 0.750 0.251
0.434 0.750 0.921
0.444 0.250 0.570
0.556 0.750 0.430
0.566 0.250 0.079
0.595 0.250 0.749
0.905 0.750 0.249
0.934 0.750 0.579
0.944 0.250 0.930
0.038 0.750 0.682
0.045 0.250 0.552
0.054 0.750 0.195
0.061 0.750 0.941
0.147 0.750 0.351
0.160 0.250 0.064
0.179 0.750 0.817
0.210 0.250 0.484
0.230 0.250 0.678
0.270 0.750 0.178
0.290 0.750 0.984
0.321 0.250 0.317
0.340 0.750 0.564
0.353 0.250 0.851
0.439 0.250 0.441
0.446 0.250 0.695
0.455 0.750 0.052
0.462 0.250 0.182
0.538 0.750 0.818
0.545 0.250 0.948
0.554 0.750 0.305
0.561 0.750 0.559
0.647 0.750 0.149
0.660 0.250 0.436
0.679 0.750 0.683
0.710 0.250 0.016
0.730 0.250 0.822
0.770 0.750 0.322
0.790 0.750 0.516
0.821 0.250 0.183
0.840 0.750 0.936
0.853 0.250 0.649
0.939 0.250 0.059
0.946 0.250 0.805
0.955 0.750 0.448
0.962 0.250 0.318
```


No. 5
Calculated XRD peak list of Nd2Se3 for λ = 1.5418 Å (Cu Kα), from a structure optimized by DFT (PBE).
Lines closer than 0.1° are merged.

Main lines, by angle (2θ = 10–80°):
| 2θ (°) | intensity |
| --- | --- |
| 24.38 | 21.4 |
| 31.63 | 100.0 |
| 37.63 | 67.5 |
| 45.34 | 21.6 |
| 47.69 | 14.7 |
| 49.95 | 11.7 |
| 52.14 | 17.8 |
| 64.19 | 28.9 |
| 67.92 | 13.8 |
| 78.58 | 14.6 |

Structure:
```
Nd2Se3
1.0
-4.474 4.474 13.405
4.474 -4.474 13.405
4.474 4.474 -13.405
Nd Se
16 24
direct
0.047 0.424 0.892
0.167 0.167 0.000
0.174 0.297 0.392
0.218 0.826 0.123
0.255 0.125 0.630
0.375 0.745 0.870
0.495 0.625 0.370
0.532 0.156 0.108
0.576 0.468 0.623
0.583 0.083 0.500
0.703 0.094 0.877
0.833 0.833 0.000
0.844 0.953 0.377
0.875 0.505 0.130
0.906 0.782 0.608
0.917 0.417 0.500
0.005 0.108 0.247
0.073 0.826 0.606
0.174 0.780 0.247
0.186 0.094 0.748
0.188 0.597 0.752
0.217 0.470 0.894
0.220 0.467 0.394
0.242 0.995 0.102
0.347 0.438 0.252
0.403 0.156 0.591
0.508 0.111 0.253
0.530 0.424 0.747
0.533 0.927 0.753
0.562 0.814 0.909
0.564 0.812 0.409
0.576 0.323 0.106
0.677 0.783 0.253
0.745 0.492 0.602
0.844 0.436 0.248
0.858 0.255 0.747
0.861 0.758 0.753
0.889 0.142 0.398
0.892 0.139 0.898
0.906 0.653 0.091
```


No. 6
Calculated XRD peak list of Ba2LaI7 for λ = 1.5418 Å (Cu Kα), from a structure optimized by DFT (PBE).
Lines closer than 0.1° are merged.

Main lines, by angle (2θ = 10–80°):
| 2θ (°) | intensity |
| --- | --- |
| 26.35 | 58.1 |
| 26.40 | 100.0 |
| 26.79 | 48.2 |
| 28.98 | 30.8 |
| 30.05 | 31.0 |
| 33.54 | 44.1 |
| 33.75 | 25.5 |
| 33.95 | 24.5 |
| 36.58 | 42.7 |
| 50.22 | 24.8 |

Structure:
```
Ba2LaI7
1.0
9.246 -4.647 0.000
9.246 4.647 0.000
-6.416 0.000 9.825
Ba La I
4 2 14
direct
0.193 0.205 0.307
0.205 0.193 0.807
0.795 0.807 0.193
0.807 0.795 0.693
0.487 0.513 0.250
0.513 0.487 0.750
0.119 0.881 0.250
0.123 0.618 0.538
0.181 0.426 0.148
0.255 0.569 0.921
0.382 0.877 0.962
0.426 0.181 0.648
0.431 0.745 0.579
0.569 0.255 0.421
0.574 0.819 0.352
0.618 0.123 0.038
0.745 0.431 0.079
0.819 0.574 0.852
0.877 0.382 0.462
0.881 0.119 0.750
```